# 1
Computed X-ray powder pattern
Compound: Sr5La3Mn8O16F8
Radiation: a wavelength of 1.5418 Å
Structure: a PBE+U-relaxed structure

Cell and atoms:
```
Sr5La3Mn8O16F8
1.0
5.7830 0.0000 0.0000
-0.0559 5.8516 0.0000
-0.0819 -0.0089 15.7104
Sr La Mn O F
5 3 8 16 8
direct
0.0000 0.0000 0.0000
0.0026 0.9901 0.4962
0.5192 0.4995 0.2477
0.5252 0.4899 0.0031
0.5452 0.4934 0.7393
0.0240 0.9848 0.2441
0.4650 0.5040 0.5025
0.9781 0.9885 0.7364
0.0044 0.4768 0.8711
0.0101 0.4941 0.1209
0.0161 0.4857 0.3718
0.5081 0.9927 0.1212
0.5149 0.9898 0.3717
0.5179 0.9807 0.6183
0.5265 0.0048 0.8708
0.9980 0.5040 0.6193
0.0043 0.4235 0.9961
0.0098 0.5794 0.2477
0.0571 0.4124 0.4980
0.2360 0.2150 0.1416
0.2397 0.7419 0.6060
0.2586 0.7429 0.3919
0.4880 0.9175 0.2452
0.4919 0.0855 0.4973
0.5180 0.0703 0.9976
0.5486 0.9194 0.7438
0.7315 0.7256 0.5945
0.7724 0.7655 0.1090
0.7914 0.2331 0.6368
0.7986 0.2113 0.8482
0.8025 0.1991 0.3500
0.9842 0.5841 0.7466
0.2508 0.7522 0.8908
0.2708 0.7285 0.0926
0.2790 0.2529 0.8361
0.2819 0.2448 0.6493
0.2828 0.2545 0.3418
0.7383 0.7066 0.4009
0.7423 0.7208 0.8970
0.7476 0.2571 0.1503
```

The 6 most intense peaks (10° ≤ 2θ ≤ 80°), sorted by position:
2θ/deg, d_spacing, intensity
30.55, 2.926, 47
30.93, 2.891, 47
31.37, 2.852, 49
31.49, 2.841, 100
31.63, 2.828, 50
44.25, 2.047, 36

# 2
Computed X-ray powder pattern
Compound: V3O5
Radiation: a wavelength of 1.5418 Å
Structure: a PBE+U-relaxed structure

Cell and atoms:
```
V3O5
1.0
5.0893 -2.5979 0.0000
5.0893 2.5979 0.0000
-2.6844 0.0000 6.5827
V O
6 10
direct
0.0016 0.9984 0.5000
0.3627 0.3745 0.7829
0.3745 0.3627 0.2829
0.7381 0.7442 0.5593
0.7442 0.7381 0.0593
0.9984 0.0016 0.0000
0.0227 0.3461 0.6188
0.0984 0.7968 0.7214
0.1706 0.5682 0.0362
0.3461 0.0227 0.1188
0.4265 0.7128 0.4472
0.5682 0.1706 0.5362
0.6371 0.9429 0.8372
0.7128 0.4265 0.9472
0.7968 0.0984 0.2214
0.9429 0.6371 0.3372
```

The 6 most intense peaks (10° ≤ 2θ ≤ 80°), sorted by position:
2θ/deg, d_spacing, intensity
26.54, 3.359, 75
30.48, 2.933, 78
33.33, 2.688, 100
36.49, 2.462, 58
51.99, 1.759, 56
55.23, 1.663, 55

# 3
Computed X-ray powder pattern
Compound: MgZn2Fe4O8
Radiation: a wavelength of 1.5418 Å
Structure: a PBE+U-relaxed structure

Cell and atoms:
```
MgZn2Fe4O8
1.0
5.1604 -2.9536 0.0000
5.1604 2.9536 0.0000
-4.4334 0.0000 5.2038
Mg Zn Fe O
1 2 4 8
direct
0.0000 0.0000 0.0000
0.5000 0.5000 0.0000
0.5000 0.5000 0.5000
0.0000 0.5000 0.5000
0.2391 0.2391 0.9718
0.5000 0.0000 0.5000
0.7609 0.7609 0.0282
0.1840 0.6774 0.1591
0.2497 0.2497 0.6985
0.2552 0.2552 0.2813
0.3226 0.8160 0.8409
0.6774 0.1840 0.1591
0.7448 0.7448 0.7187
0.7503 0.7503 0.3015
0.8160 0.3226 0.8409
```

The 6 most intense peaks (10° ≤ 2θ ≤ 80°), sorted by position:
2θ/deg, d_spacing, intensity
18.79, 4.721, 80
34.47, 2.602, 70
34.93, 2.569, 59
35.11, 2.556, 100
40.36, 2.235, 77
46.22, 1.964, 62

# 4
Computed X-ray powder pattern
Compound: MgCr2O7
Radiation: a wavelength of 1.5418 Å
Structure: a PBE+U-relaxed structure

Cell and atoms:
```
MgCr2O7
1.0
6.4001 0.0000 0.0000
0.0000 6.5880 0.0000
-2.5307 0.0000 7.2904
Mg Cr O
2 4 14
direct
0.1101 0.0000 0.1514
0.8899 0.5000 0.8486
0.1025 0.5182 0.2905
0.3493 0.5599 0.7178
0.6507 0.0599 0.2822
0.8975 0.0182 0.7095
0.0579 0.6486 0.0911
0.1258 0.0032 0.6692
0.1261 0.4450 0.7343
0.1860 0.2869 0.2658
0.2869 0.6415 0.4829
0.4098 0.7481 0.8541
0.4315 0.9096 0.2343
0.5685 0.4096 0.7657
0.5902 0.2481 0.1459
0.7131 0.1415 0.5171
0.8140 0.7869 0.7342
0.8742 0.5032 0.3308
0.8739 0.9450 0.2657
0.9421 0.1486 0.9089
```

The 6 most intense peaks (10° ≤ 2θ ≤ 80°), sorted by position:
2θ/deg, d_spacing, intensity
19.93, 4.455, 54
20.70, 4.290, 100
24.42, 3.645, 62
27.07, 3.294, 34
28.00, 3.187, 46
35.39, 2.537, 22

# 5
Computed X-ray powder pattern
Compound: Li4TiFe3Sn2P6O24
Radiation: a wavelength of 1.5418 Å
Structure: a PBE+U-relaxed structure

Cell and atoms:
```
Li4TiFe3Sn2P6O24
1.0
8.5312 0.0000 0.0000
-4.2161 7.5557 0.0000
-0.2089 -4.8551 7.9205
Li Ti Fe Sn P O
4 1 3 2 6 24
direct
0.0000 0.0000 0.0000
0.0936 0.9961 0.5079
0.2450 0.6520 0.0005
0.5966 0.2738 0.0018
0.0391 0.4868 0.2899
0.2443 0.8859 0.8744
0.5587 0.5495 0.8398
0.7207 0.8700 0.3598
0.4347 0.2692 0.4092
0.8487 0.1390 0.7600
0.1404 0.4023 0.5971
0.3438 0.4108 0.1009
0.4273 0.9790 0.5839
0.6588 0.0090 0.0986
0.8543 0.7026 0.5956
0.9404 0.7010 0.1069
0.0041 0.1844 0.5768
0.0206 0.8598 0.7581
0.0296 0.5901 0.1362
0.0689 0.8295 0.0370
0.0753 0.3902 0.4338
0.1406 0.5647 0.7567
0.1469 0.3513 0.1382
0.2730 0.7550 0.4407
0.3417 0.4386 0.6144
0.3437 0.2131 0.0277
0.3523 0.4845 0.9738
0.3760 0.1261 0.5726
0.4457 0.0099 0.7605
0.4506 0.9238 0.0283
0.5025 0.5775 0.2678
0.6229 0.0364 0.5563
0.6873 0.0190 0.2645
0.6893 0.5327 0.6189
0.7219 0.8791 0.9665
0.7357 0.5275 0.9807
0.7818 0.2387 0.1334
0.7934 0.8342 0.5686
0.9039 0.5981 0.4371
0.9391 0.8473 0.2791
```

The 6 most intense peaks (10° ≤ 2θ ≤ 80°), sorted by position:
2θ/deg, d_spacing, intensity
20.42, 4.350, 69
20.54, 4.323, 78
20.83, 4.264, 73
30.43, 2.937, 100
30.64, 2.918, 61
31.12, 2.874, 75

# 6
Computed X-ray powder pattern
Compound: Er6MoO12
Radiation: a wavelength of 1.5418 Å
Structure: a PBE+U-relaxed structure

Cell and atoms:
```
Er6MoO12
1.0
5.1991 0.0000 0.0000
-1.7495 7.1785 0.0000
-0.4443 -1.3452 8.7612
Er Mo O
6 1 12
direct
0.0633 0.2990 0.0491
0.0665 0.0972 0.3380
0.3971 0.3858 0.7406
0.6029 0.6142 0.2594
0.9335 0.9028 0.6620
0.9367 0.7010 0.9509
0.5000 0.0000 0.0000
0.1006 0.4606 0.8634
0.1894 0.9700 0.1185
0.1995 0.1495 0.5770
0.2663 0.8586 0.8249
0.2882 0.3680 0.2788
0.4352 0.2316 0.9345
0.5648 0.7684 0.0655
0.7118 0.6320 0.7212
0.7337 0.1414 0.1751
0.8005 0.8505 0.4230
0.8106 0.0300 0.8815
0.8994 0.5394 0.1366
```

The 6 most intense peaks (10° ≤ 2θ ≤ 80°), sorted by position:
2θ/deg, d_spacing, intensity
10.10, 8.761, 80
18.94, 4.685, 92
21.70, 4.096, 44
27.48, 3.246, 100
28.17, 3.168, 45
28.54, 3.127, 46

# 7
Computed X-ray powder pattern
Compound: Li2Ti4VO8
Radiation: a wavelength of 1.5418 Å
Structure: a PBE+U-relaxed structure

Cell and atoms:
```
Li2Ti4VO8
1.0
5.1594 -2.9343 0.0000
5.1594 2.9343 0.0000
-3.3991 0.0000 4.8559
Li Ti V O
2 4 1 8
direct
0.0000 0.5000 0.0000
0.5000 0.0000 0.0000
0.0000 0.0000 0.0000
0.0000 0.5000 0.5000
0.5000 0.0000 0.5000
0.5000 0.5000 0.5000
0.5000 0.5000 0.0000
0.2496 0.2496 0.2440
0.2496 0.7477 0.7490
0.2523 0.7504 0.2510
0.2557 0.2557 0.7341
0.7443 0.7443 0.2659
0.7477 0.2496 0.7490
0.7504 0.2523 0.2510
0.7504 0.7504 0.7560
```

The 6 most intense peaks (10° ≤ 2θ ≤ 80°), sorted by position:
2θ/deg, d_spacing, intensity
18.29, 4.851, 79
18.40, 4.821, 20
35.75, 2.511, 24
42.79, 2.113, 53
43.40, 2.085, 100
62.58, 1.484, 56

# 8
Computed X-ray powder pattern
Compound: MgZn2W2O8
Radiation: a wavelength of 1.5418 Å
Structure: a PBE+U-relaxed structure

Cell and atoms:
```
MgZn2W2O8
1.0
3.1052 -7.1270 0.0000
3.1052 7.1270 0.0000
-3.0427 0.0000 3.9101
Mg Zn W O
1 2 2 8
direct
0.0000 0.0000 0.0000
0.6563 0.3437 0.5000
0.8118 0.1882 0.0000
0.1709 0.8291 0.5000
0.3265 0.6735 0.0000
0.0600 0.4962 0.5303
0.1565 0.3395 0.9975
0.2701 0.1063 0.4149
0.4587 0.0399 0.9893
0.5038 0.9400 0.4697
0.6605 0.8435 0.0025
0.8937 0.7299 0.5851
0.9601 0.5413 0.0107
```

The 6 most intense peaks (10° ≤ 2θ ≤ 80°), sorted by position:
2θ/deg, d_spacing, intensity
12.42, 7.127, 100
19.15, 4.635, 39
25.99, 3.428, 88
31.43, 2.846, 41
34.04, 2.634, 29
38.46, 2.341, 52